(1)
Starting from a PBE-relaxed structure, the PXRD pattern of CsNpPtO6 was calculated for λ = 1.5418 Å (Cu Kα).

Cell and atoms:
a b c (Å): 7.562 7.562 7.562
angles (deg): 122.13 117.34 90.51
Fractional coordinates of all 18 atoms:
Cs 0.368 0.118 0.250
Cs 0.632 0.882 0.750
Np 0.000 0.500 0.500
Np 0.500 0.500 0.000
Pt 0.000 0.000 0.500
Pt 0.000 0.500 0.000
O 0.058 0.431 0.240
O 0.058 0.818 0.626
O 0.075 0.825 0.250
O 0.309 0.182 0.740
O 0.309 0.569 0.126
O 0.323 0.573 0.750
O 0.677 0.427 0.250
O 0.691 0.431 0.874
O 0.691 0.818 0.260
O 0.925 0.175 0.750
O 0.942 0.182 0.374
O 0.942 0.569 0.760

Top 10 peaks for 2θ from 10° to 90°, most intense first:
d (Å), 2θ (°), intensity
3.165, 28.2, 100
3.294, 27.1, 73
3.015, 29.6, 50
1.888, 48.2, 49
6.030, 14.7, 35
3.193, 27.9, 30
3.235, 27.6, 28
6.326, 14.0, 27
1.647, 55.8, 17
1.583, 58.3, 17

---

(2)
Starting from a PBE-relaxed structure, the PXRD pattern of CsRbNpO4 was calculated for λ = 1.5418 Å (Cu Kα).

Cell and atoms:
a b c (Å): 8.039 8.039 8.039
angles (deg): 148.38 148.38 45.33
Fractional coordinates of all 7 atoms:
Cs 0.000 0.000 0.000
Rb 0.697 0.697 0.000
Np 0.341 0.341 0.000
O 0.211 0.211 0.000
O 0.340 0.840 0.500
O 0.471 0.471 0.000
O 0.840 0.340 0.500

Top 10 peaks for 2θ from 10° to 90°, most intense first:
d (Å), 2θ (°), intensity
3.279, 27.2, 100
3.098, 28.8, 51
1.822, 50.1, 39
7.418, 11.9, 36
2.191, 41.2, 25
1.933, 47.0, 20
4.202, 21.1, 20
1.640, 56.1, 16
2.473, 36.3, 14
2.457, 36.6, 10

---

(3)
Starting from a PBE-relaxed structure, the PXRD pattern of CsRbNp2O7 was calculated for λ = 1.5418 Å (Cu Kα).

Cell and atoms:
a b c (Å): 4.272 4.272 11.045
angles (deg): 90.00 90.00 90.00
Fractional coordinates of all 11 atoms:
Cs 0.000 0.000 0.000
Rb 0.000 0.000 0.500
Np 0.500 0.500 0.305
Np 0.500 0.500 0.695
O 0.000 0.500 0.311
O 0.000 0.500 0.689
O 0.500 0.000 0.311
O 0.500 0.000 0.689
O 0.500 0.500 0.135
O 0.500 0.500 0.500
O 0.500 0.500 0.865

Top 10 peaks for 2θ from 10° to 90°, most intense first:
d (Å), 2θ (°), intensity
3.379, 26.4, 100
3.021, 29.6, 52
1.806, 50.5, 35
2.136, 42.3, 28
4.272, 20.8, 25
3.682, 24.2, 21
1.962, 46.3, 20
2.789, 32.1, 19
3.985, 22.3, 18
1.445, 64.5, 15

---

(4)
Starting from a PBE-relaxed structure, the PXRD pattern of CsNpRhO6 was calculated for λ = 1.5418 Å (Cu Kα).

Cell and atoms:
a b c (Å): 7.533 7.533 7.533
angles (deg): 122.46 116.89 90.63
Fractional coordinates of all 18 atoms:
Cs 0.365 0.115 0.250
Cs 0.635 0.885 0.750
Np 0.000 0.500 0.500
Np 0.500 0.500 0.000
Rh 0.000 0.000 0.500
Rh 0.000 0.500 0.000
O 0.055 0.429 0.239
O 0.055 0.816 0.626
O 0.064 0.814 0.250
O 0.310 0.184 0.739
O 0.310 0.571 0.126
O 0.326 0.576 0.750
O 0.674 0.424 0.250
O 0.690 0.429 0.874
O 0.690 0.816 0.261
O 0.936 0.186 0.750
O 0.945 0.184 0.374
O 0.945 0.571 0.761

Top 10 peaks for 2θ from 10° to 90°, most intense first:
d (Å), 2θ (°), intensity
3.292, 27.1, 100
5.984, 14.8, 47
1.880, 48.4, 47
3.163, 28.2, 44
2.992, 29.9, 43
3.175, 28.1, 39
3.146, 28.4, 33
2.023, 44.8, 21
3.223, 27.7, 20
1.675, 54.8, 16

---

(5)
Starting from a PBE-relaxed structure, the PXRD pattern of CsNpS2O8 was calculated for λ = 1.5418 Å (Cu Kα).

Cell and atoms:
a b c (Å): 9.457 9.457 9.457
angles (deg): 32.88 32.88 32.88
Fractional coordinates of all 12 atoms:
Cs 0.000 0.000 0.000
Np 0.500 0.500 0.500
S 0.240 0.240 0.240
S 0.760 0.760 0.760
O 0.057 0.534 0.750
O 0.250 0.943 0.466
O 0.294 0.294 0.294
O 0.466 0.250 0.943
O 0.534 0.750 0.057
O 0.706 0.706 0.706
O 0.750 0.057 0.534
O 0.943 0.466 0.250

Top 10 peaks for 2θ from 10° to 90°, most intense first:
d (Å), 2θ (°), intensity
3.813, 23.3, 100
4.381, 20.3, 33
2.676, 33.5, 32
2.716, 33.0, 29
2.296, 39.2, 25
1.695, 54.1, 17
2.191, 41.2, 16
1.715, 53.4, 15
2.321, 38.8, 14
4.469, 19.9, 14

---

(6)
Starting from a PBE-relaxed structure, the PXRD pattern of CsTb2NpO8 was calculated for λ = 1.5418 Å (Cu Kα).

Cell and atoms:
a b c (Å): 5.141 5.141 7.915
angles (deg): 90.06 90.06 90.10
Fractional coordinates of all 12 atoms:
Cs 0.000 0.000 0.000
Tb 0.500 0.500 0.284
Tb 0.500 0.500 0.716
Np 0.000 0.000 0.500
O 0.187 0.811 0.320
O 0.189 0.813 0.680
O 0.297 0.297 0.500
O 0.395 0.395 0.000
O 0.605 0.605 0.000
O 0.703 0.703 0.500
O 0.811 0.187 0.320
O 0.813 0.189 0.680

Top 10 peaks for 2θ from 10° to 90°, most intense first:
d (Å), 2θ (°), intensity
3.635, 24.5, 100
3.136, 28.5, 95
1.988, 45.6, 66
2.570, 34.9, 29
7.915, 11.2, 22
1.573, 58.7, 18
1.738, 52.7, 17
1.626, 56.6, 17
1.818, 50.2, 15
1.342, 70.1, 12

---

(7)
Starting from a PBE-relaxed structure, the PXRD pattern of Cs2NpTc3O12 was calculated for λ = 1.5418 Å (Cu Kα).

Cell and atoms:
a b c (Å): 7.554 7.554 7.554
angles (deg): 57.85 57.85 57.85
Fractional coordinates of all 18 atoms:
Cs 0.120 0.120 0.120
Cs 0.880 0.880 0.880
Np 0.500 0.500 0.500
Tc 0.000 0.500 0.500
Tc 0.500 0.000 0.500
Tc 0.500 0.500 0.000
O 0.169 0.571 0.571
O 0.197 0.197 0.567
O 0.197 0.567 0.197
O 0.429 0.429 0.831
O 0.429 0.831 0.429
O 0.433 0.803 0.803
O 0.567 0.197 0.197
O 0.571 0.169 0.571
O 0.571 0.571 0.169
O 0.803 0.433 0.803
O 0.803 0.803 0.433
O 0.831 0.429 0.429

Top 10 peaks for 2θ from 10° to 90°, most intense first:
d (Å), 2θ (°), intensity
3.156, 28.3, 100
3.232, 27.6, 63
2.999, 29.8, 52
5.998, 14.8, 36
3.654, 24.4, 36
1.827, 49.9, 31
1.887, 48.2, 31
1.999, 45.4, 31
2.018, 44.9, 24
1.590, 58.0, 17

---

(8)
Starting from a PBE-relaxed structure, the PXRD pattern of CsNpTcO6 was calculated for λ = 1.5418 Å (Cu Kα).

Cell and atoms:
a b c (Å): 7.584 7.584 7.584
angles (deg): 122.22 117.71 90.11
Fractional coordinates of all 18 atoms:
Cs 0.366 0.116 0.250
Cs 0.634 0.884 0.750
Np 0.000 0.500 0.500
Np 0.500 0.500 0.000
Tc 0.000 0.000 0.500
Tc 0.000 0.500 0.000
O 0.042 0.792 0.250
O 0.052 0.423 0.228
O 0.052 0.825 0.629
O 0.305 0.175 0.728
O 0.305 0.577 0.129
O 0.325 0.575 0.750
O 0.675 0.425 0.250
O 0.695 0.423 0.871
O 0.695 0.825 0.272
O 0.948 0.175 0.371
O 0.948 0.577 0.772
O 0.958 0.208 0.750

Top 10 peaks for 2θ from 10° to 90°, most intense first:
d (Å), 2θ (°), intensity
3.291, 27.1, 100
3.168, 28.2, 78
6.049, 14.6, 50
1.894, 48.0, 47
3.024, 29.5, 44
3.211, 27.8, 41
2.036, 44.5, 22
3.251, 27.4, 21
3.788, 23.5, 18
3.664, 24.3, 17